No. 1
Structure and simulated powder diffraction line list of FeCoTe (the PBE geometry in Alexandria; λ = 1.5418 Å (Cu Kα)).
Lines closer than 0.1° are merged.

Structural model:
```
data_FeCoTe
_chemical_formula_sum 'Fe4 Co4 Te4'
_cell_length_a 6.8763
_cell_length_b 3.9705
_cell_length_c 8.8457
_cell_angle_alpha 90.00
_cell_angle_beta 104.94
_cell_angle_gamma 90.00
_symmetry_space_group_name_H-M 'C 1 m 1'
_symmetry_Int_Tables_number 8
loop_
_symmetry_equiv_pos_as_xyz
'x,y,z'
'x,-y,z'
'x+1/2,y+1/2,z'
'x+1/2,-y+1/2,z'
loop_
_atom_site_label
_atom_site_type_symbol
_atom_site_fract_x
_atom_site_fract_y
_atom_site_fract_z
Fe1 Fe 0.0000 0.0000 0.0000
Fe2 Fe 0.2362 0.5000 0.2093
Co1 Co 0.1409 0.5000 0.9221
Co2 Co 0.3624 0.0000 0.0874
Te1 Te 0.2600 0.0000 0.7789
Te2 Te 0.4584 0.0000 0.3766
```

Most intense lines, 2θ = 10–90°, sorted by position:
d_spacing, I_rel, index
8.547, 84, 0 0 1
4.273, 23, 0 0 2
3.408, 63, 1 1 0
3.030, 62, 2 0 -2
2.854, 52, 2 0 1
2.344, 48, 1 1 -3
2.055, 42, 1 1 3
1.985, 100, 0 2 0
1.931, 33, 2 0 3
1.929, 45, 1 1 -4

***

No. 2
Structure and simulated powder diffraction line list of Cs3NiCl7 (the PBE geometry in Alexandria; λ = 1.5418 Å (Cu Kα)).
Lines closer than 0.1° are merged.

Structural model:
```
data_Cs3NiCl7
_chemical_formula_sum 'Cs6 Ni2 Cl14'
_cell_length_a 9.9383
_cell_length_b 9.9383
_cell_length_c 7.2824
_cell_angle_alpha 90.00
_cell_angle_beta 90.00
_cell_angle_gamma 90.00
_symmetry_space_group_name_H-M 'P 4/m b m'
_symmetry_Int_Tables_number 127
_symmetry_space_group_name_Hall '-P 4 2ab'
loop_
_atom_site_label
_atom_site_type_symbol
_atom_site_fract_x
_atom_site_fract_y
_atom_site_fract_z
Cs1 Cs 0.0000 0.0000 0.0000
Cs2 Cs 0.1804 0.3196 0.5000
Ni1 Ni 0.0000 0.5000 0.0000
Cl1 Cl 0.0000 0.0000 0.5000
Cl2 Cl 0.1129 0.6129 0.2186
Cl3 Cl 0.1607 0.3393 0.0000
```

Most intense lines, 2θ = 10–90°, sorted by position:
d_spacing, I_rel, index
4.445, 27, 2 1 0
4.105, 100, 2 0 1
3.794, 38, 2 1 1
3.641, 39, 0 0 2
3.514, 50, 2 2 0
3.143, 54, 3 1 0
2.817, 90, 2 1 2
2.528, 39, 2 2 2
2.410, 26, 4 1 0
1.897, 23, 4 2 2

***

Please write out number 2 again, unchanged.
Structure and simulated powder diffraction line list of Cs3NiCl7 (the PBE geometry in Alexandria; λ = 1.5418 Å (Cu Kα)).
Lines closer than 0.1° are merged.

Structural model:
```
data_Cs3NiCl7
_chemical_formula_sum 'Cs6 Ni2 Cl14'
_cell_length_a 9.9383
_cell_length_b 9.9383
_cell_length_c 7.2824
_cell_angle_alpha 90.00
_cell_angle_beta 90.00
_cell_angle_gamma 90.00
_symmetry_space_group_name_H-M 'P 4/m b m'
_symmetry_Int_Tables_number 127
_symmetry_space_group_name_Hall '-P 4 2ab'
loop_
_atom_site_label
_atom_site_type_symbol
_atom_site_fract_x
_atom_site_fract_y
_atom_site_fract_z
Cs1 Cs 0.0000 0.0000 0.0000
Cs2 Cs 0.1804 0.3196 0.5000
Ni1 Ni 0.0000 0.5000 0.0000
Cl1 Cl 0.0000 0.0000 0.5000
Cl2 Cl 0.1129 0.6129 0.2186
Cl3 Cl 0.1607 0.3393 0.0000
```

Most intense lines, 2θ = 10–90°, sorted by position:
d_spacing, I_rel, index
4.445, 27, 2 1 0
4.105, 100, 2 0 1
3.794, 38, 2 1 1
3.641, 39, 0 0 2
3.514, 50, 2 2 0
3.143, 54, 3 1 0
2.817, 90, 2 1 2
2.528, 39, 2 2 2
2.410, 26, 4 1 0
1.897, 23, 4 2 2